Structure and calculated XRD peak list of U2Zn16Co (the PBE geometry in Alexandria; Cu Kα, 1.54184 Å).

Structure:
abc: 8.9906 8.9906 12.9868
angles: 90.00 90.00 120.00
Space group R3m (No. 160, hexagonal axes)
Inequivalent atoms, fractional coordinates:
U 0.0000 0.0000 0.0000 (multiplicity 3)
U 0.0000 0.0000 0.3350 (multiplicity 3)
Zn 0.0000 0.0000 0.7568 (multiplicity 3)
Zn 0.0004 0.2921 0.6579 (multiplicity 18)
Zn 0.0046 0.5023 0.8109 (multiplicity 9)
Zn 0.1672 0.3344 0.4929 (multiplicity 9)
Zn 0.1738 0.3477 0.8426 (multiplicity 9)
Co 0.0000 0.0000 0.5147 (multiplicity 3)

Main lines, by intensity (10 to 80 degrees two-theta):
2θ/deg, I/Imax
40.5, 100
40.1, 65
41.8, 55
34.6, 46
28.6, 46
59.3, 26

=====

Structure and calculated XRD peak list of BaLiCa14 (the PBE geometry in Alexandria; Cu Kα, 1.54184 Å).

Structure:
abc: 7.918 7.918 10.759
angles: 90.00 90.00 90.00
Space group P4/mmm (No. 123)
Inequivalent atoms, fractional coordinates:
Ba 0.000 0.000 0.000 (multiplicity 1)
Li 0.500 0.500 0.000 (multiplicity 1)
Ca 0.000 0.000 0.500 (multiplicity 1)
Ca 0.000 0.500 0.000 (multiplicity 2)
Ca 0.000 0.500 0.500 (multiplicity 2)
Ca 0.256 0.256 0.251 (multiplicity 8)
Ca 0.500 0.500 0.500 (multiplicity 1)

Main lines, by intensity (10 to 80 degrees two-theta):
2θ/deg, I/Imax
28.0, 100
32.0, 35
54.6, 27
46.8, 22
33.3, 15
13.9, 15

=====

Structure and calculated XRD peak list of Tl4Hg12Sb (the PBE geometry in Alexandria; Cu Kα, 1.54184 Å).

Structure:
abc: 9.894 9.894 9.894
angles: 90.00 90.00 90.00
Space group Im-3m (No. 229)
Inequivalent atoms, fractional coordinates:
Tl 0.250 0.250 0.250 (multiplicity 8)
Hg 0.000 0.000 0.301 (multiplicity 12)
Hg 0.000 0.250 0.500 (multiplicity 12)
Sb 0.000 0.000 0.000 (multiplicity 2)

Main lines, by intensity (10 to 80 degrees two-theta):
2θ/deg, I/Imax
31.3, 100
36.3, 58
52.3, 34
62.2, 31
42.9, 12
38.6, 10

=====

Structure and calculated XRD peak list of NdSm5Ag (the PBE geometry in Alexandria; Cu Kα, 1.54184 Å).

Structure:
abc: 13.475 6.593 11.920
angles: 90.00 121.41 90.00
Space group C2/c (No. 15)
Inequivalent atoms, fractional coordinates:
Nd 0.000 0.012 0.250 (multiplicity 4)
Sm 0.000 0.489 0.250 (multiplicity 4)
Sm 0.069 0.251 0.553 (multiplicity 8)
Sm 0.217 0.249 0.130 (multiplicity 8)
Ag 0.250 0.250 0.500 (multiplicity 4)

Main lines, by intensity (10 to 80 degrees two-theta):
2θ/deg, I/Imax
31.7, 100
32.4, 98
34.1, 85
36.5, 78
30.1, 76
31.3, 66

=====

Structure and calculated XRD peak list of ErBr2F (the PBE geometry in Alexandria; Cu Kα, 1.54184 Å).

Structure:
abc: 4.076 4.313 14.651
angles: 90.00 90.00 90.00
Space group Immm (No. 71)
Inequivalent atoms, fractional coordinates:
Er 0.000 0.000 0.000 (multiplicity 2)
Br 0.000 0.500 0.369 (multiplicity 4)
F 0.000 0.500 0.000 (multiplicity 2)

Main lines, by intensity (10 to 80 degrees two-theta):
2θ/deg, I/Imax
21.5, 100
12.1, 83
28.5, 75
39.1, 61
49.9, 31
51.5, 28

=====

Structure and calculated XRD peak list of Hg2BiTeMo (the PBE geometry in Alexandria; Cu Kα, 1.54184 Å).

Structure:
abc: 5.475 5.475 6.270
angles: 90.00 90.00 90.00
Space group P4/mmm (No. 123)
Inequivalent atoms, fractional coordinates:
Hg 0.000 0.500 0.000 (multiplicity 2)
Bi 0.000 0.000 0.500 (multiplicity 1)
Te 0.000 0.000 0.000 (multiplicity 1)
Mo 0.500 0.500 0.500 (multiplicity 1)

Main lines, by intensity (10 to 80 degrees two-theta):
2θ/deg, I/Imax
27.1, 100
32.7, 63
43.9, 57
28.5, 45
55.0, 29
55.8, 28

=====

Structure and calculated XRD peak list of MnReRu2 (the PBE geometry in Alexandria; Cu Kα, 1.54184 Å).

Structure:
abc: 2.689 2.689 7.509
angles: 90.00 90.00 90.00
Space group P4mm (No. 99)
Inequivalent atoms, fractional coordinates:
Mn 0.000 0.000 0.000 (multiplicity 1)
Re 0.500 0.500 0.248 (multiplicity 1)
Ru 0.000 0.000 0.506 (multiplicity 1)
Ru 0.500 0.500 0.770 (multiplicity 1)

Main lines, by intensity (10 to 80 degrees two-theta):
2θ/deg, I/Imax
41.3, 100
47.8, 33
70.5, 19
11.8, 17
48.5, 15
70.0, 10

=====

Structure and calculated XRD peak list of Ti5VFe6 (the PBE geometry in Alexandria; Cu Kα, 1.54184 Å).

Structure:
abc: 4.156 5.871 12.457
angles: 90.00 90.00 90.00
Space group Immm (No. 71)
Inequivalent atoms, fractional coordinates:
Ti 0.000 0.000 0.000 (multiplicity 2)
Ti 0.000 0.000 0.335 (multiplicity 4)
Ti 0.000 0.500 0.333 (multiplicity 4)
V 0.000 0.500 0.000 (multiplicity 2)
Fe 0.000 0.245 0.500 (multiplicity 4)
Fe 0.000 0.252 0.165 (multiplicity 8)

Main lines, by intensity (10 to 80 degrees two-theta):
2θ/deg, I/Imax
43.6, 100
63.3, 15
80.0, 9
30.4, 2